[1]
The following is a simulated powder diffractogram of Ba4Ac3NpN8. It was derived from a cell relaxed with GGA-PBE, using copper Kα.
Peak positions follow from Bragg's law for the DFT cell and can differ from measured ones.

Main lines, in order of falling intensity (10 to 90 degrees two-theta):
Position (°2θ)	intensity	hkl
28.27	100	2 0 2
32.56	92	0 2 4
27.59	36	0 0 6
55.50	34	2 2 6
46.28	33	2 0 8
47.15	32	2 2 0
54.73	18	0 2 10
58.47	17	4 0 4

Atomic structure:
a b c (Å): 7.7105 7.7105 19.3954
angles (deg): 90.00 90.00 120.00
Space group R-3m (No. 166, hexagonal axes)
Symmetry-distinct sites (fractional):
Ba 0.0000 0.0000 0.0000 x3
Ba 0.0000 0.5000 0.0000 x9
Ac 0.0000 0.5000 0.5000 x9
Np 0.0000 0.0000 0.5000 x3
N 0.0000 0.0000 0.2385 x6
N 0.0551 0.5276 0.2288 x18

***

[2]
The following is a simulated powder diffractogram of CsAlAs. It was derived from a cell relaxed with GGA-PBE, using copper Kα.
Peak positions follow from Bragg's law for the DFT cell and can differ from measured ones.

Main lines, in order of falling intensity (10 to 90 degrees two-theta):
Position (°2θ)	intensity	hkl
21.67	100	0 1 2
13.85	99	0 0 2
28.45	88	0 1 -3
19.46	65	0 1 -1
36.96	51	0 2 -1
30.11	50	1 1 3
24.43	46	1 0 -1
24.08	44	1 0 1

Atomic structure:
a b c (Å): 4.141 5.445 12.847
angles (deg): 84.77 86.63 67.71
Space group P1 (No. 1)
Symmetry-distinct sites (fractional):
Cs 0.000 0.000 0.000 x1
Cs 0.447 0.303 0.451 x1
Al 0.302 0.485 0.754 x1
Al 0.568 0.968 0.711 x1
As 0.144 0.853 0.606 x1
As 0.724 0.604 0.857 x1